[1]
The following is a calculated powder XRD pattern of NiPO4. It was derived from DFT lattice parameters and positions (GGA+U), using Cu Ka.

a = 5.052 Å, b = 10.030 Å, c = 8.708 Å
α = 90.00°, β = 124.76°, γ = 90.00°
Space group P2_1/c (No. 14)
Symmetry-distinct sites (fractional):
Ni (0.169, 0.173, 0.473) (multiplicity 4)
P (0.103, 0.594, 0.790) (multiplicity 4)
O (0.052, 0.059, 0.275) (multiplicity 4)
O (0.115, 0.651, 0.959) (multiplicity 4)
O (0.174, 0.155, 0.899) (multiplicity 4)
O (0.427, 0.631, 0.818) (multiplicity 4)

The 10 most intense peaks (2θ from 5° to 70°), in order of falling intensity:
15.21°, intensity 100, hkl 0 1 1; 23.43°, intensity 77, hkl 1 1 -2; 21.41°, intensity 66, hkl 1 0 0; 29.49°, intensity 47, hkl 0 3 1; 21.65°, intensity 47, hkl 1 0 -2; 35.78°, intensity 36, hkl 0 4 0; 30.70°, intensity 32, hkl 0 2 2; 35.54°, intensity 31, hkl 2 0 -2; 23.19°, intensity 26, hkl 1 1 0; 31.75°, intensity 17, hkl 1 1 1


[2]
The following is a calculated powder XRD pattern of Mn5P4O20. It was derived from DFT lattice parameters and positions (GGA+U), using Cu Ka.

a = 17.121 Å, b = 9.028 Å, c = 9.253 Å
α = 90.00°, β = 97.85°, γ = 90.00°
Space group C2/c (No. 15)
Symmetry-distinct sites (fractional):
Mn (0.000, 0.108, 0.250) (multiplicity 4)
Mn (0.176, 0.021, 0.893) (multiplicity 8)
Mn (0.181, 0.441, 0.822) (multiplicity 8)
P (0.078, 0.185, 0.622) (multiplicity 8)
P (0.157, 0.250, 0.151) (multiplicity 8)
O (0.001, 0.262, 0.884) (multiplicity 8)
O (0.071, 0.252, 0.184) (multiplicity 8)
O (0.081, 0.048, 0.735) (multiplicity 8)
O (0.085, 0.115, 0.470) (multiplicity 8)
O (0.089, 0.480, 0.846) (multiplicity 8)
O (0.151, 0.277, 0.681) (multiplicity 8)
O (0.166, 0.220, 0.987) (multiplicity 8)
O (0.196, 0.405, 0.182) (multiplicity 8)
O (0.207, 0.130, 0.244) (multiplicity 8)
O (0.245, 0.461, 0.459) (multiplicity 8)

The 10 most intense peaks (2θ from 5° to 70°), in order of falling intensity:
28.73°, intensity 100, hkl 2 2 -2; 11.10°, intensity 81, hkl 1 1 0; 30.65°, intensity 75, hkl 2 2 2; 28.50°, intensity 60, hkl 3 1 2; 10.43°, intensity 45, hkl 2 0 0; 22.31°, intensity 42, hkl 2 2 0; 19.37°, intensity 41, hkl 0 0 2; 34.55°, intensity 23, hkl 3 3 -1; 32.04°, intensity 21, hkl 1 1 3; 60.15°, intensity 18, hkl 5 3 4


[3]
The following is a calculated powder XRD pattern of MgCoO3. It was derived from DFT lattice parameters and positions (GGA+U), using Cu Ka.

a = 9.529 Å, b = 8.494 Å, c = 4.962 Å
α = 90.00°, β = 94.27°, γ = 90.00°
Space group C2/c (No. 15)
Symmetry-distinct sites (fractional):
Mg (0.216, 0.110, 0.276) (multiplicity 8)
Co (0.000, 0.234, 0.750) (multiplicity 4)
Co (0.000, 0.418, 0.250) (multiplicity 4)
O (0.103, 0.416, 0.930) (multiplicity 8)
O (0.111, 0.274, 0.460) (multiplicity 8)
O (0.128, 0.100, 0.892) (multiplicity 8)

The 10 most intense peaks (2θ from 5° to 70°), in order of falling intensity:
13.98°, intensity 100, hkl 1 1 0; 18.68°, intensity 93, hkl 2 0 0; 38.16°, intensity 75, hkl 1 3 1; 32.81°, intensity 69, hkl 2 2 -1; 47.67°, intensity 65, hkl 3 3 1; 34.37°, intensity 49, hkl 2 2 1; 30.11°, intensity 42, hkl 3 1 0; 60.47°, intensity 39, hkl 5 3 -1; 39.80°, intensity 39, hkl 2 0 -2; 36.32°, intensity 34, hkl 0 0 2


[4]
The following is a calculated powder XRD pattern of Li4Cr3NiO8. It was derived from DFT lattice parameters and positions (GGA+U), using Cu Ka.

a = 5.122 Å, b = 7.802 Å, c = 7.811 Å
α = 94.14°, β = 108.98°, γ = 96.31°
Space group P-1 (No. 2)
Symmetry-distinct sites (fractional):
Li (0.000, 0.000, 0.000) (multiplicity 1)
Li (0.123, 0.369, 0.123) (multiplicity 2)
Li (0.248, 0.748, 0.246) (multiplicity 2)
Li (0.374, 0.128, 0.372) (multiplicity 2)
Li (0.500, 0.500, 0.500) (multiplicity 1)
Cr (0.063, 0.689, 0.564) (multiplicity 2)
Cr (0.190, 0.062, 0.693) (multiplicity 2)
Cr (0.313, 0.438, 0.814) (multiplicity 2)
Ni (0.437, 0.811, 0.937) (multiplicity 2)
O (0.036, 0.846, 0.771) (multiplicity 2)
O (0.074, 0.530, 0.349) (multiplicity 2)
O (0.160, 0.219, 0.895) (multiplicity 2)
O (0.195, 0.906, 0.475) (multiplicity 2)
O (0.301, 0.592, 0.029) (multiplicity 2)
O (0.324, 0.279, 0.600) (multiplicity 2)
O (0.434, 0.969, 0.156) (multiplicity 2)
O (0.446, 0.654, 0.719) (multiplicity 2)

The 10 most intense peaks (2θ from 5° to 70°), in order of falling intensity:
18.39°, intensity 100, hkl 1 0 -1; 43.38°, intensity 54, hkl 1 3 -2; 62.90°, intensity 29, hkl 1 1 4; 35.69°, intensity 28, hkl 0 2 2; 43.22°, intensity 27, hkl 2 -1 1; 37.29°, intensity 17, hkl 2 0 -2; 63.02°, intensity 14, hkl 0 5 1; 35.58°, intensity 14, hkl 1 -1 2; 47.44°, intensity 14, hkl 2 2 0; 57.35°, intensity 11, hkl 2 3 -3


[5]
The following is a calculated powder XRD pattern of KV5NiO22. It was derived from DFT lattice parameters and positions (GGA+U), using Cu Ka.

a = 9.821 Å, b = 10.884 Å, c = 10.978 Å
α = 65.67°, β = 68.69°, γ = 75.15°
Space group P-1 (No. 2)
Symmetry-distinct sites (fractional):
K (0.223, 0.221, 0.065) (multiplicity 2)
V (0.113, 0.552, 0.209) (multiplicity 2)
V (0.128, 0.815, 0.259) (multiplicity 2)
V (0.140, 0.256, 0.452) (multiplicity 2)
V (0.160, 0.524, 0.492) (multiplicity 2)
V (0.178, 0.238, 0.734) (multiplicity 2)
Ni (0.303, 0.812, 0.674) (multiplicity 2)
O (0.009, 0.846, 0.428) (multiplicity 2)
O (0.011, 0.382, 0.598) (multiplicity 2)
O (0.013, 0.596, 0.633) (multiplicity 2)
O (0.034, 0.126, 0.806) (multiplicity 2)
O (0.053, 0.347, 0.840) (multiplicity 2)
O (0.106, 0.859, 0.780) (multiplicity 2)
O (0.107, 0.853, 0.664) (multiplicity 2)
O (0.193, 0.476, 0.096) (multiplicity 2)
O (0.206, 0.697, 0.155) (multiplicity 2)
O (0.219, 0.189, 0.330) (multiplicity 2)
O (0.219, 0.439, 0.358) (multiplicity 2)
O (0.226, 0.941, 0.176) (multiplicity 2)
O (0.238, 0.560, 0.804) (multiplicity 2)
O (0.241, 0.673, 0.389) (multiplicity 2)
O (0.251, 0.191, 0.570) (multiplicity 2)
O (0.263, 0.413, 0.602) (multiplicity 2)
O (0.296, 0.159, 0.823) (multiplicity 2)
O (0.342, 0.468, 0.811) (multiplicity 2)
O (0.424, 0.786, 0.532) (multiplicity 2)
O (0.428, 0.777, 0.782) (multiplicity 2)
O (0.430, 0.903, 0.795) (multiplicity 2)
O (0.498, 0.109, 0.127) (multiplicity 2)

The 10 most intense peaks (2θ from 5° to 70°), in order of falling intensity:
9.74°, intensity 100, hkl 1 0 0; 11.30°, intensity 49, hkl 1 1 1; 9.25°, intensity 44, hkl 0 0 1; 27.19°, intensity 23, hkl 0 3 0; 26.97°, intensity 17, hkl 2 2 3; 19.56°, intensity 16, hkl 2 0 0; 22.72°, intensity 16, hkl 2 2 2; 12.41°, intensity 15, hkl 1 1 0; 10.37°, intensity 15, hkl 0 1 1; 18.55°, intensity 13, hkl 0 0 2


[6]
The following is a calculated powder XRD pattern of Li9Mn2Co5O16. It was derived from DFT lattice parameters and positions (GGA+U), using Cu Ka.

a = 5.006 Å, b = 5.905 Å, c = 10.217 Å
α = 89.74°, β = 80.57°, γ = 73.96°
Space group P-1 (No. 2)
Symmetry-distinct sites (fractional):
Li (0.000, 0.000, 0.000) (multiplicity 1)
Li (0.000, 0.000, 0.500) (multiplicity 1)
Li (0.000, 0.500, 0.000) (multiplicity 1)
Li (0.004, 0.243, 0.235) (multiplicity 2)
Li (0.487, 0.632, 0.883) (multiplicity 2)
Li (0.490, 0.127, 0.370) (multiplicity 2)
Mn (0.499, 0.378, 0.625) (multiplicity 2)
Co (0.000, 0.500, 0.500) (multiplicity 1)
Co (0.010, 0.750, 0.241) (multiplicity 2)
Co (0.492, 0.114, 0.878) (multiplicity 2)
O (0.242, 0.221, 0.567) (multiplicity 2)
O (0.246, 0.453, 0.329) (multiplicity 2)
O (0.248, 0.693, 0.079) (multiplicity 2)
O (0.258, 0.957, 0.807) (multiplicity 2)
O (0.261, 0.662, 0.553) (multiplicity 2)
O (0.262, 0.910, 0.321) (multiplicity 2)
O (0.266, 0.434, 0.796) (multiplicity 2)
O (0.268, 0.179, 0.059) (multiplicity 2)

The 10 most intense peaks (2θ from 5° to 70°), in order of falling intensity:
18.28°, intensity 100, hkl 0 1 1; 43.41°, intensity 54, hkl 1 -2 2; 44.02°, intensity 26, hkl 2 2 2; 62.94°, intensity 14, hkl 1 4 0; 35.85°, intensity 14, hkl 1 -1 3; 35.96°, intensity 13, hkl 1 1 -3; 36.45°, intensity 13, hkl 2 1 1; 57.19°, intensity 10, hkl -1 1 5; 62.99°, intensity 7, hkl -2 2 2; 64.04°, intensity 7, hkl 3 0 4


[7]
The following is a calculated powder XRD pattern of Li9Co7O16. It was derived from DFT lattice parameters and positions (GGA+U), using Cu Ka.

a = 5.017 Å, b = 5.083 Å, c = 11.094 Å
α = 80.53°, β = 85.98°, γ = 80.81°
Space group P-1 (No. 2)
Symmetry-distinct sites (fractional):
Li (0.000, 0.000, 0.000) (multiplicity 1)
Li (0.246, 0.696, 0.819) (multiplicity 2)
Li (0.247, 0.189, 0.311) (multiplicity 2)
Li (0.249, 0.940, 0.564) (multiplicity 2)
Li (0.254, 0.440, 0.058) (multiplicity 2)
Co (0.000, 0.245, 0.756) (multiplicity 2)
Co (0.000, 0.500, 0.500) (multiplicity 1)
Co (0.499, 0.372, 0.627) (multiplicity 2)
Co (0.500, 0.125, 0.876) (multiplicity 2)
O (0.119, 0.828, 0.400) (multiplicity 2)
O (0.122, 0.568, 0.658) (multiplicity 2)
O (0.139, 0.328, 0.892) (multiplicity 2)
O (0.141, 0.052, 0.163) (multiplicity 2)
O (0.355, 0.051, 0.726) (multiplicity 2)
O (0.357, 0.559, 0.220) (multiplicity 2)
O (0.380, 0.290, 0.470) (multiplicity 2)
O (0.395, 0.805, 0.971) (multiplicity 2)

The 10 most intense peaks (2θ from 5° to 70°), in order of falling intensity:
18.47°, intensity 100, hkl 0 1 1; 43.85°, intensity 27, hkl -2 1 1; 44.28°, intensity 26, hkl 1 2 -2; 44.51°, intensity 25, hkl 1 1 5; 63.82°, intensity 14, hkl 2 3 3; 36.32°, intensity 14, hkl 2 0 0; 36.85°, intensity 13, hkl 1 0 4; 36.71°, intensity 13, hkl 1 1 -3; 48.26°, intensity 8, hkl 2 2 2; 38.34°, intensity 8, hkl 1 -1 3


[8]
The following is a calculated powder XRD pattern of Ca2Nd2Nb3FeO14. It was derived from DFT lattice parameters and positions (GGA+U), using Cu Ka.

a = 7.500 Å, b = 7.405 Å, c = 12.884 Å
α = 90.00°, β = 125.02°, γ = 90.00°
Space group P2/c (No. 13)
Symmetry-distinct sites (fractional):
Ca (0.000, 0.000, 0.000) (multiplicity 2)
Ca (0.000, 0.243, 0.250) (multiplicity 2)
Nd (0.000, 0.500, 0.000) (multiplicity 2)
Nd (0.500, 0.242, 0.250) (multiplicity 2)
Nb (0.000, 0.262, 0.750) (multiplicity 2)
Nb (0.500, 0.000, 0.000) (multiplicity 2)
Nb (0.500, 0.263, 0.750) (multiplicity 2)
Fe (0.500, 0.500, 0.000) (multiplicity 2)
O (0.126, 0.247, 0.126) (multiplicity 4)
O (0.173, 0.448, 0.876) (multiplicity 4)
O (0.176, 0.255, 0.676) (multiplicity 4)
O (0.179, 0.055, 0.873) (multiplicity 4)
O (0.424, 0.453, 0.626) (multiplicity 4)
O (0.433, 0.248, 0.427) (multiplicity 4)
O (0.434, 0.053, 0.629) (multiplicity 4)

The 10 most intense peaks (2θ from 5° to 70°), in order of falling intensity:
29.47°, intensity 100, hkl 0 2 2; 34.01°, intensity 56, hkl 0 0 4; 29.08°, intensity 53, hkl 2 0 0; 29.36°, intensity 51, hkl 2 0 -4; 48.67°, intensity 33, hkl 2 2 2; 49.04°, intensity 33, hkl 2 2 -6; 58.03°, intensity 29, hkl 0 2 6; 57.67°, intensity 22, hkl 2 0 4; 58.18°, intensity 21, hkl 2 0 -8; 48.56°, intensity 17, hkl 4 0 -4